# 1
Structure and calculated X-ray diffraction stick pattern of Ag2P2PbS7 (a structure optimized by DFT (GGA-PBE); Cu Kα (weighted mean of Kα1 and Kα2)).
Lines closer than 0.1° are merged.

Peak list (10 most intense, 10 to 90 degrees two-theta, most intense first)
| 2theta | I/Imax |
| --- | --- |
| 20.06 | 100.0 |
| 27.66 | 59.0 |
| 34.41 | 42.5 |
| 29.36 | 34.1 |
| 44.70 | 29.7 |
| 46.97 | 28.1 |
| 48.91 | 24.5 |
| 40.78 | 22.4 |
| 26.79 | 19.8 |
| 63.01 | 19.5 |

Atomic structure:
```
data_Ag2P2PbS7
_symmetry_space_group_name_H-M 'R 3 2'
_symmetry_Int_Tables_number 155
_symmetry_space_group_name_Hall 'R 3 2"'
_cell_length_a 6.4505
_cell_length_b 6.4505
_cell_length_c 29.0096
_cell_angle_alpha 90.00
_cell_angle_beta 90.00
_cell_angle_gamma 120.00
loop_
_atom_site_label
_atom_site_type_symbol
_atom_site_fract_x
_atom_site_fract_y
_atom_site_fract_z
Ag1 Ag 0.0000 0.0000 0.2465
P1 P 0.0000 0.0000 0.0748
Pb1 Pb 0.0000 0.0000 0.5000
S1 S 0.0000 0.0000 0.0000
S2 S 0.0049 0.3858 0.7581
```

=====

# 2
Structure and calculated X-ray diffraction stick pattern of AgPPd3 (a structure optimized by DFT (GGA-PBE); Cu Kα (weighted mean of Kα1 and Kα2)).
Lines closer than 0.1° are merged.

Peak list (10 most intense, 10 to 90 degrees two-theta, most intense first)
| 2theta | I/Imax |
| --- | --- |
| 38.18 | 100.0 |
| 36.21 | 24.1 |
| 50.12 | 19.7 |
| 66.44 | 18.7 |
| 33.45 | 17.8 |
| 59.79 | 17.3 |
| 71.94 | 14.5 |
| 73.18 | 11.5 |
| 44.75 | 5.2 |
| 54.61 | 5.0 |

Atomic structure:
```
data_AgPPd3
_symmetry_space_group_name_H-M 'P 63/m m c'
_symmetry_Int_Tables_number 194
_symmetry_space_group_name_Hall '-P 6c 2c'
_cell_length_a 6.1871
_cell_length_b 6.1871
_cell_length_c 4.9610
_cell_angle_alpha 90.00
_cell_angle_beta 90.00
_cell_angle_gamma 120.00
loop_
_atom_site_label
_atom_site_type_symbol
_atom_site_fract_x
_atom_site_fract_y
_atom_site_fract_z
Ag1 Ag 0.3333 0.6667 0.2500
P1 P 0.0000 0.0000 0.0000
Pd1 Pd 0.1843 0.3687 0.7500
```